Starting from a DFT-relaxed cell (GGA-PBE, Alexandria), the X-ray powder pattern of Dy5GeRu2 was computed for a wavelength of 1.5418 Å.
No peak broadening, texture or thermal motion is included.

Most intense lines, 15 to 90 degrees two-theta, by intensity:
| hkl | two_theta | d [Å] | Rel. int. |
| --- | --- | --- | --- |
| 2 1 3 | 33.26 | 2.694 | 100 |
| 3 1 0 | 37.29 | 2.412 | 47 |
| 2 0 4 | 36.03 | 2.493 | 24 |
| 4 2 0 | 53.77 | 1.705 | 20 |
| 5 2 3 | 69.78 | 1.348 | 18 |
| 1 1 4 | 31.84 | 2.811 | 15 |
| 2 1 1 | 27.01 | 3.301 | 15 |
| 2 1 5 | 43.39 | 2.085 | 15 |

Cell and atoms:
```
data_Dy5GeRu2
_cell_length_a 7.6259
_cell_length_b 7.6259
_cell_length_c 13.1748
_cell_angle_alpha 90.00
_cell_angle_beta 90.00
_cell_angle_gamma 90.00
_space_group_name_H-M_alt 'I 4/m c m'
_space_group_IT_number 140
_space_group_name_Hall '-I 4 2c'
loop_
_atom_site_label
_atom_site_type_symbol
_atom_site_fract_x
_atom_site_fract_y
_atom_site_fract_z
Dy1 Dy 0.0000 0.0000 0.0000
Dy2 Dy 0.1615 0.3385 0.1393
Ge1 Ge 0.0000 0.0000 0.2500
Ru1 Ru 0.1378 0.3622 0.5000
```